[1]
The following is a computed powder diffractogram of Tb2Tl3. It was derived from DFT lattice parameters and positions (PBE), using λ = 1.5418 Å (Cu Kα).
No peak broadening, texture or thermal motion is included.

Main lines, low angle first (2θ = 10–90°):
| (hkl) | Position (°2θ) | I_rel |
| --- | --- | --- |
| 1 2 1 | 32.35 | 100.0 |
| 3 1 0 | 36.48 | 35.6 |
| 0 0 2 | 39.54 | 15.1 |
| 2 4 0 | 52.55 | 11.1 |
| 3 1 2 | 54.89 | 22.3 |
| 5 0 1 | 63.07 | 25.5 |
| 1 2 3 | 67.23 | 12.4 |
| 2 4 2 | 67.72 | 10.5 |
| 3 6 1 | 86.51 | 4.5 |
| 1 7 0 | 88.85 | 4.2 |

```
Tb2Tl3
1.0
7.788 0.000 0.000
0.000 7.788 0.000
0.000 0.000 4.558
Tb Tl
4 6
direct
0.129 0.695 0.000
0.305 0.129 0.000
0.695 0.871 0.000
0.871 0.305 0.000
0.000 0.000 0.500
0.180 0.395 0.500
0.395 0.820 0.500
0.500 0.500 0.000
0.605 0.180 0.500
0.820 0.605 0.500
```

[2]
The following is a computed powder diffractogram of Tb7Tm4Tl. It was derived from DFT lattice parameters and positions (PBE), using λ = 1.5418 Å (Cu Kα).
No peak broadening, texture or thermal motion is included.

Main lines, low angle first (2θ = 10–90°):
| (hkl) | Position (°2θ) | I_rel |
| --- | --- | --- |
| 1 0 4 | 30.99 | 100.0 |
| 0 0 12 | 31.53 | 30.6 |
| 0 1 8 | 36.10 | 65.7 |
| 1 1 0 | 51.62 | 24.4 |
| 1 0 16 | 52.32 | 21.5 |
| 0 2 4 | 61.44 | 14.4 |
| 1 1 12 | 61.75 | 27.1 |
| 0 1 20 | 62.38 | 12.1 |
| 2 0 8 | 64.60 | 12.2 |
| 2 1 4 | 84.32 | 12.0 |

```
Tb7Tm4Tl
1.0
3.541 0.000 0.000
-1.771 3.067 0.000
0.000 0.000 34.053
Tb Tm Tl
7 4 1
direct
0.000 0.000 0.000
0.000 0.000 0.253
0.000 0.000 0.747
0.333 0.667 0.168
0.333 0.667 0.421
0.667 0.333 0.579
0.667 0.333 0.832
0.333 0.667 0.663
0.333 0.667 0.916
0.667 0.333 0.084
0.667 0.333 0.337
0.000 0.000 0.500
```